SrV2O6: computed powder X-ray diffraction pattern (Cu Kα (λ = 1.5418 Å)), based on a crystal structure in Alexandria, relaxed with PBE+U.
Intensities are scaled so that the largest is 100.

Crystal structure
a b c (Å): 11.011 10.665 6.049
angles (deg): 90.00 109.16 90.00
Space group C2/c (No. 15)
Asymmetric unit:
Sr: 0.000 0.121 0.250
V: 0.201 0.426 0.234
O: 0.136 0.060 0.661
O: 0.141 0.497 0.451
O: 0.157 0.276 0.209

Peak list (8 most intense, 2θ = 15–90°, by intensity)
(2 2 -1), 2θ 25.30, intensity 100; (3 1 0), 2θ 27.04, intensity 56; (1 1 -1), 2θ 17.20, intensity 50; (0 2 0), 2θ 16.63, intensity 39; (1 1 1), 2θ 21.72, intensity 38; (0 0 2), 2θ 31.31, intensity 37; (2 2 1), 2θ 31.61, intensity 35; (2 2 -3), 2θ 48.26, intensity 28